# 1
For Rb3Cd5Ag2, the GGA-PBE geometry in Alexandria gives the simulated PXRD pattern in this record (Cu Kα (weighted mean of Kα1 and Kα2)).

Main lines, in order of rising 2θ (10° ≤ 2θ ≤ 90°):
d/Å, I (rel.), (hkl)
6.124, 16.3, 2 0 0
4.800, 23.4, 1 2 1
3.216, 62.7, 3 2 1
3.205, 74.3, 2 4 0
3.117, 73.4, 2 0 2
2.609, 100.0, 0 4 2
2.375, 31.1, 4 4 0
2.338, 35.3, 4 0 2
2.217, 34.2, 5 2 1
2.003, 16.0, 3 2 3
1.811, 18.6, 0 0 4
1.576, 17.4, 2 4 4

```
data_Rb3Cd5Ag2
_symmetry_space_group_name_H-M 'I b a m'
_symmetry_Int_Tables_number 72
_symmetry_space_group_name_Hall '-I 2 2c'
_cell_length_a 12.248
_cell_length_b 15.046
_cell_length_c 7.242
_cell_angle_alpha 90.00
_cell_angle_beta 90.00
_cell_angle_gamma 90.00
loop_
_atom_site_label
_atom_site_fract_x
_atom_site_fract_y
_atom_site_fract_z
Rb1 0.000 0.000 0.250
Rb2 0.234 0.373 0.000
Cd1 0.000 0.248 0.250
Cd2 0.000 0.500 0.250
Cd3 0.125 0.375 0.500
Ag1 0.148 0.157 0.000
```

# 2
For Ac2PmDyO6, the GGA-PBE geometry in Alexandria gives the simulated PXRD pattern in this record (Cu Kα (weighted mean of Kα1 and Kα2)).

Main lines, in order of rising 2θ (10° ≤ 2θ ≤ 90°):
d/Å, I (rel.), (hkl)
3.916, 6.2, 1 1 0
3.141, 21.8, 0 2 0
3.101, 100.0, 1 1 1
3.045, 23.0, 2 0 -2
2.199, 11.9, 0 0 4
2.186, 19.4, 2 2 -2
1.932, 7.8, 1 3 -2
1.806, 14.8, 1 3 -3
1.802, 10.7, 0 2 4
1.770, 11.3, 3 1 -1
1.767, 11.4, 3 1 -5
1.390, 9.7, 1 1 -7

```
data_Ac2PmDyO6
_symmetry_space_group_name_H-M 'P 1 21/c 1'
_symmetry_Int_Tables_number 14
_symmetry_space_group_name_Hall '-P 2ybc'
_cell_length_a 6.089
_cell_length_b 6.283
_cell_length_c 10.686
_cell_angle_alpha 90.00
_cell_angle_beta 124.59
_cell_angle_gamma 90.00
loop_
_atom_site_label
_atom_site_fract_x
_atom_site_fract_y
_atom_site_fract_z
Ac1 0.235 0.048 0.251
Pm1 0.500 0.000 0.000
Dy1 0.000 0.000 0.500
O1 0.123 0.201 0.931
O2 0.234 0.693 0.934
O3 0.370 0.058 0.745
```

# 3
For CePr2YPt2, the GGA-PBE geometry in Alexandria gives the simulated PXRD pattern in this record (Cu Kα (weighted mean of Kα1 and Kα2)).

Main lines, in order of rising 2θ (10° ≤ 2θ ≤ 90°):
d/Å, I (rel.), (hkl)
4.025, 31.7, 1 2 1
3.457, 29.0, 2 0 0
3.437, 30.2, 0 0 2
3.111, 32.2, 2 2 0
3.097, 33.2, 0 2 2
2.879, 72.6, 1 4 1
2.483, 42.0, 2 4 0
2.475, 41.7, 0 4 2
2.438, 100.0, 2 0 2
2.137, 51.9, 1 6 1
1.857, 20.5, 1 4 3
1.605, 21.2, 1 6 3

```
data_CePr2YPt2
_symmetry_space_group_name_H-M 'I b a m'
_symmetry_Int_Tables_number 72
_symmetry_space_group_name_Hall '-I 2 2c'
_cell_length_a 6.914
_cell_length_b 14.269
_cell_length_c 6.875
_cell_angle_alpha 90.00
_cell_angle_beta 90.00
_cell_angle_gamma 90.00
loop_
_atom_site_label
_atom_site_fract_x
_atom_site_fract_y
_atom_site_fract_z
Ce1 0.000 0.000 0.250
Pr1 0.228 0.191 0.000
Y1 0.000 0.500 0.250
Pt1 0.243 0.110 0.500
```